Theoretical powder diffraction line list
Compound: Li2CaHg9
Radiation: Cu Kα (weighted mean of Kα1 and Kα2)
Structure: a GGA-PBE-relaxed structure

Atomic structure:
a = 4.621 Å, b = 4.621 Å, c = 13.295 Å
α = 90.00°, β = 90.00°, γ = 90.00°
Space group P4/mmm (No. 123)
Inequivalent atoms, fractional coordinates:
Li (0.000, 0.000, 0.158) [2 per cell]
Ca (0.000, 0.000, 0.500) [1 per cell]
Hg (0.000, 0.500, 0.000) [2 per cell]
Hg (0.000, 0.500, 0.321) [4 per cell]
Hg (0.500, 0.500, 0.161) [2 per cell]
Hg (0.500, 0.500, 0.500) [1 per cell]

Top 10 peaks for 10 to 90 degrees two-theta, by angle:
two_theta  I/Imax  index
19.2  18  1 0 0
27.9  15  1 0 3
34.1  100  1 1 3
39.0  36  2 0 0
40.7  14  0 0 6
56.3  12  2 2 0
57.6  21  2 0 6
67.5  28  3 1 3
69.9  10  1 1 9
71.8  11  2 2 6

***

Theoretical powder diffraction line list
Compound: Y2Re2Mo
Radiation: Cu Kα (weighted mean of Kα1 and Kα2)
Structure: a GGA-PBE-relaxed structure

Atomic structure:
a = 6.617 Å, b = 6.617 Å, c = 4.850 Å
α = 90.00°, β = 90.00°, γ = 90.00°
Space group P4/mbm (No. 127)
Inequivalent atoms, fractional coordinates:
Y (0.177, 0.323, 0.000) [4 per cell]
Re (0.130, 0.630, 0.500) [4 per cell]
Mo (0.000, 0.000, 0.500) [2 per cell]

Top 10 peaks for 10 to 90 degrees two-theta, by angle:
two_theta  I/Imax  index
18.3  32  0 0 1
30.2  9  2 1 0
32.8  14  2 0 1
35.5  100  2 1 1
37.1  30  0 0 2
43.2  25  3 1 0
47.3  13  3 1 1
58.2  21  3 1 2
65.8  17  2 1 3
80.7  9  5 2 1